[1]
Starting from a DFT-relaxed cell (PBE, Alexandria), the powder diffraction line list of HoZr2Sc12 was computed for Cu Kα.
Lines closer than 0.1° are merged.

Principal peaks in the range 5 to 70 degrees two-theta, low angle first:
2θ 21.6, rel. 33; 2θ 24.6, rel. 26; 2θ 26.6, rel. 47; 2θ 27.1, rel. 35; 2θ 32.9, rel. 68; 2θ 34.6, rel. 62; 2θ 35.0, rel. 100; 2θ 36.5, rel. 30; 2θ 44.0, rel. 36; 2θ 52.2, rel. 27

Structural model:
Lattice parameters (Å, degrees): 5.818 5.818 22.994 90.00 90.00 90.00
Fractional coordinates of all 30 atoms:
Ho (0.250, 0.750, 0.000)
Ho (0.750, 0.250, 0.000)
Zr (0.250, 0.750, 0.279)
Zr (0.250, 0.750, 0.721)
Zr (0.750, 0.250, 0.279)
Zr (0.750, 0.250, 0.721)
Sc (0.068, 0.568, 0.123)
Sc (0.068, 0.932, 0.877)
Sc (0.081, 0.581, 0.439)
Sc (0.081, 0.919, 0.561)
Sc (0.250, 0.250, 0.221)
Sc (0.250, 0.250, 0.341)
Sc (0.250, 0.250, 0.659)
Sc (0.250, 0.250, 0.779)
Sc (0.419, 0.581, 0.561)
Sc (0.419, 0.919, 0.439)
Sc (0.432, 0.568, 0.877)
Sc (0.432, 0.932, 0.123)
Sc (0.568, 0.068, 0.877)
Sc (0.568, 0.432, 0.123)
Sc (0.581, 0.081, 0.561)
Sc (0.581, 0.419, 0.439)
Sc (0.750, 0.750, 0.221)
Sc (0.750, 0.750, 0.341)
Sc (0.750, 0.750, 0.659)
Sc (0.750, 0.750, 0.779)
Sc (0.919, 0.081, 0.439)
Sc (0.919, 0.419, 0.561)
Sc (0.932, 0.068, 0.123)
Sc (0.932, 0.432, 0.877)

[2]
Starting from a DFT-relaxed cell (PBE, Alexandria), the powder diffraction line list of Sr2Mg17Zn3 was computed for Cu Kα.
Lines closer than 0.1° are merged.

Principal peaks in the range 5 to 70 degrees two-theta, low angle first:
2θ 10.8, rel. 22; 2θ 16.7, rel. 37; 2θ 25.2, rel. 26; 2θ 27.0, rel. 25; 2θ 32.3, rel. 100; 2θ 32.7, rel. 30; 2θ 33.4, rel. 36; 2θ 33.8, rel. 42; 2θ 47.2, rel. 25; 2θ 47.4, rel. 53

Structural model:
Lattice parameters (Å, degrees): 8.312 8.312 8.312 83.57 83.57 83.57
Fractional coordinates of all 22 atoms:
Sr (0.159, 0.159, 0.159)
Sr (0.841, 0.841, 0.841)
Mg (0.000, 0.500, 0.500)
Mg (0.166, 0.166, 0.672)
Mg (0.166, 0.672, 0.166)
Mg (0.235, 0.500, 0.765)
Mg (0.235, 0.765, 0.500)
Mg (0.328, 0.834, 0.834)
Mg (0.399, 0.399, 0.399)
Mg (0.500, 0.000, 0.500)
Mg (0.500, 0.235, 0.765)
Mg (0.500, 0.500, 0.000)
Mg (0.500, 0.765, 0.235)
Mg (0.601, 0.601, 0.601)
Mg (0.672, 0.166, 0.166)
Mg (0.765, 0.235, 0.500)
Mg (0.765, 0.500, 0.235)
Mg (0.834, 0.328, 0.834)
Mg (0.834, 0.834, 0.328)
Zn (0.000, 0.000, 0.500)
Zn (0.000, 0.500, 0.000)
Zn (0.500, 0.000, 0.000)

[3]
Starting from a DFT-relaxed cell (PBE, Alexandria), the powder diffraction line list of Tm4TlCd was computed for Cu Kα.
Lines closer than 0.1° are merged.

Principal peaks in the range 5 to 70 degrees two-theta, low angle first:
2θ 6.6, rel. 4; 2θ 28.7, rel. 2; 2θ 32.5, rel. 100; 2θ 36.1, rel. 38; 2θ 40.7, rel. 13; 2θ 51.9, rel. 14; 2θ 55.5, rel. 21; 2θ 62.6, rel. 31; 2θ 68.0, rel. 11; 2θ 68.9, rel. 10

Structural model:
Lattice parameters (Å, degrees): 3.523 3.523 13.307 90.00 90.00 90.00
Fractional coordinates of all 6 atoms:
Tm (0.000, 0.000, 0.155)
Tm (0.000, 0.000, 0.845)
Tm (0.500, 0.500, 0.338)
Tm (0.500, 0.500, 0.662)
Tl (0.000, 0.000, 0.500)
Cd (0.500, 0.500, 0.000)

[4]
Starting from a DFT-relaxed cell (PBE, Alexandria), the powder diffraction line list of Ta3Ru2Rh2 was computed for Cu Kα.
Lines closer than 0.1° are merged.

Principal peaks in the range 5 to 70 degrees two-theta, low angle first:
2θ 12.2, rel. 13; 2θ 23.9, rel. 17; 2θ 24.5, rel. 4; 2θ 25.0, rel. 13; 2θ 31.4, rel. 13; 2θ 40.9, rel. 100; 2θ 41.5, rel. 99; 2θ 56.9, rel. 6; 2θ 59.7, rel. 33; 2θ 60.5, rel. 4

Structural model:
Lattice parameters (Å, degrees): 7.677 7.677 7.677 32.96 32.96 32.96
Fractional coordinates of all 7 atoms:
Ta (0.000, 0.000, 0.000)
Ta (0.245, 0.245, 0.245)
Ta (0.755, 0.755, 0.755)
Ru (0.376, 0.376, 0.376)
Ru (0.624, 0.624, 0.624)
Rh (0.127, 0.127, 0.127)
Rh (0.873, 0.873, 0.873)

[5]
Starting from a DFT-relaxed cell (PBE, Alexandria), the powder diffraction line list of SrCd2 was computed for Cu Kα.
Lines closer than 0.1° are merged.

Principal peaks in the range 5 to 70 degrees two-theta, low angle first:
2θ 29.2, rel. 44; 2θ 30.1, rel. 100; 2θ 30.4, rel. 40; 2θ 35.0, rel. 92; 2θ 35.8, rel. 83; 2θ 42.4, rel. 18; 2θ 47.0, rel. 23; 2θ 50.4, rel. 26; 2θ 57.7, rel. 28; 2θ 64.4, rel. 21

Structural model:
Lattice parameters (Å, degrees): 6.432 6.432 5.124 113.40 113.40 77.43
Fractional coordinates of all 6 atoms:
Sr (0.205, 0.205, 0.455)
Sr (0.795, 0.795, 0.545)
Cd (0.217, 0.611, 0.165)
Cd (0.389, 0.783, 0.835)
Cd (0.611, 0.217, 0.165)
Cd (0.783, 0.389, 0.835)

[6]
Starting from a DFT-relaxed cell (PBE, Alexandria), the powder diffraction line list of Ho2Zn16Ag was computed for Cu Kα.
Lines closer than 0.1° are merged.

Principal peaks in the range 5 to 70 degrees two-theta, low angle first:
2θ 28.4, rel. 26; 2θ 34.6, rel. 47; 2θ 35.7, rel. 31; 2θ 40.2, rel. 66; 2θ 40.4, rel. 100; 2θ 41.1, rel. 51; 2θ 41.4, rel. 23; 2θ 45.4, rel. 29; 2θ 58.8, rel. 22; 2θ 65.9, rel. 16

Structural model:
Lattice parameters (Å, degrees): 6.799 6.799 6.799 82.68 82.68 82.68
Fractional coordinates of all 19 atoms:
Ho (0.000, 0.000, 0.000)
Ho (0.326, 0.326, 0.326)
Zn (0.017, 0.017, 0.499)
Zn (0.017, 0.499, 0.017)
Zn (0.160, 0.664, 0.664)
Zn (0.310, 0.310, 0.824)
Zn (0.310, 0.824, 0.310)
Zn (0.365, 0.662, 0.961)
Zn (0.365, 0.961, 0.662)
Zn (0.499, 0.017, 0.017)
Zn (0.662, 0.365, 0.961)
Zn (0.662, 0.961, 0.365)
Zn (0.664, 0.160, 0.664)
Zn (0.664, 0.664, 0.160)
Zn (0.769, 0.769, 0.769)
Zn (0.824, 0.310, 0.310)
Zn (0.961, 0.365, 0.662)
Zn (0.961, 0.662, 0.365)
Ag (0.564, 0.564, 0.564)

[7]
Starting from a DFT-relaxed cell (PBE, Alexandria), the powder diffraction line list of Nd3HoHg3 was computed for Cu Kα.
Lines closer than 0.1° are merged.

Principal peaks in the range 5 to 70 degrees two-theta, low angle first:
2θ 11.8, rel. 12; 2θ 27.2, rel. 10; 2θ 28.8, rel. 9; 2θ 33.0, rel. 26; 2θ 34.0, rel. 100; 2θ 34.8, rel. 21; 2θ 48.7, rel. 13; 2θ 49.1, rel. 10; 2θ 59.6, rel. 14; 2θ 62.0, rel. 12

Structural model:
Lattice parameters (Å, degrees): 7.486 7.486 7.426 90.00 90.00 93.06
Fractional coordinates of all 14 atoms:
Nd (0.189, 0.189, 0.500)
Nd (0.223, 0.777, 0.000)
Nd (0.244, 0.244, 0.000)
Nd (0.756, 0.756, 0.000)
Nd (0.777, 0.223, 0.000)
Nd (0.811, 0.811, 0.500)
Ho (0.292, 0.708, 0.500)
Ho (0.708, 0.292, 0.500)
Hg (0.000, 0.500, 0.263)
Hg (0.000, 0.500, 0.737)
Hg (0.500, 0.000, 0.263)
Hg (0.500, 0.000, 0.737)
Hg (0.500, 0.500, 0.226)
Hg (0.500, 0.500, 0.774)

[8]
Starting from a DFT-relaxed cell (PBE, Alexandria), the powder diffraction line list of PuTl3Cl7 was computed for Cu Kα.
Lines closer than 0.1° are merged.

Principal peaks in the range 5 to 70 degrees two-theta, low angle first:
2θ 20.1, rel. 55; 2θ 21.1, rel. 53; 2θ 22.5, rel. 100; 2θ 24.4, rel. 43; 2θ 26.0, rel. 21; 2θ 32.3, rel. 29; 2θ 35.3, rel. 40; 2θ 36.6, rel. 24; 2θ 39.1, rel. 25; 2θ 40.3, rel. 22

Structural model:
Lattice parameters (Å, degrees): 7.360 7.360 8.591 117.10 117.10 82.00
Fractional coordinates of all 11 atoms:
Pu (0.000, 0.000, 0.000)
Tl (0.268, 0.826, 0.549)
Tl (0.551, 0.551, 0.110)
Tl (0.826, 0.268, 0.549)
Cl (0.171, 0.673, 0.811)
Cl (0.194, 0.194, 0.920)
Cl (0.352, 0.993, 0.285)
Cl (0.673, 0.171, 0.811)
Cl (0.676, 0.676, 0.629)
Cl (0.842, 0.842, 0.134)
Cl (0.993, 0.352, 0.285)

[9]
Starting from a DFT-relaxed cell (PBE, Alexandria), the powder diffraction line list of Pa2Si4Pd5 was computed for Cu Kα.
Lines closer than 0.1° are merged.

Principal peaks in the range 5 to 70 degrees two-theta, low angle first:
2θ 26.2, rel. 91; 2θ 31.5, rel. 75; 2θ 36.6, rel. 95; 2θ 37.4, rel. 100; 2θ 40.6, rel. 49; 2θ 54.0, rel. 33; 2θ 56.4, rel. 22; 2θ 59.8, rel. 17; 2θ 65.1, rel. 22; 2θ 66.9, rel. 17

Structural model:
Lattice parameters (Å, degrees): 8.535 7.607 5.595 78.94 61.02 40.05
Fractional coordinates of all 11 atoms:
Pa (0.145, 0.145, 0.855)
Pa (0.855, 0.855, 0.145)
Si (0.230, 0.484, 0.516)
Si (0.484, 0.230, 0.770)
Si (0.516, 0.770, 0.230)
Si (0.770, 0.516, 0.484)
Pd (0.000, 0.000, 0.500)
Pd (0.250, 0.250, 0.250)
Pd (0.500, 0.500, 0.000)
Pd (0.500, 0.500, 0.500)
Pd (0.750, 0.750, 0.750)

[10]
Starting from a DFT-relaxed cell (PBE, Alexandria), the powder diffraction line list of PmMgBr4 was computed for Cu Kα.
Lines closer than 0.1° are merged.

Principal peaks in the range 5 to 70 degrees two-theta, low angle first:
2θ 12.1, rel. 100; 2θ 26.6, rel. 15; 2θ 29.7, rel. 47; 2θ 30.7, rel. 92; 2θ 34.2, rel. 14; 2θ 38.6, rel. 18; 2θ 39.7, rel. 17; 2θ 42.9, rel. 33; 2θ 43.6, rel. 30; 2θ 57.4, rel. 14

Structural model:
Lattice parameters (Å, degrees): 7.442 3.796 7.633 90.00 105.82 90.00
Fractional coordinates of all 6 atoms:
Pm (0.000, 0.000, 0.000)
Mg (0.500, 0.500, 0.000)
Br (0.277, 0.500, 0.230)
Br (0.285, 0.000, 0.793)
Br (0.715, 0.000, 0.207)
Br (0.723, 0.500, 0.770)

[11]
Starting from a DFT-relaxed cell (PBE, Alexandria), the powder diffraction line list of SmErBeZn was computed for Cu Kα.
Lines closer than 0.1° are merged.

Principal peaks in the range 5 to 70 degrees two-theta, low angle first:
2θ 21.9, rel. 7; 2θ 25.3, rel. 45; 2θ 36.1, rel. 100; 2θ 42.6, rel. 4; 2θ 44.6, rel. 14; 2θ 52.0, rel. 18; 2θ 57.1, rel. 2; 2θ 58.7, rel. 18; 2θ 65.0, rel. 36; 2θ 69.4, rel. 1

Structural model:
Lattice parameters (Å, degrees): 4.973 4.973 4.973 60.00 60.00 60.00
Fractional coordinates of all 4 atoms:
Sm (0.000, 0.000, 0.000)
Er (0.500, 0.500, 0.500)
Be (0.250, 0.250, 0.250)
Zn (0.750, 0.750, 0.750)

[12]
Starting from a DFT-relaxed cell (PBE, Alexandria), the powder diffraction line list of Pm2Pr7 was computed for Cu Kα.
Lines closer than 0.1° are merged.

Principal peaks in the range 5 to 70 degrees two-theta, low angle first:
2θ 29.5, rel. 100; 2θ 29.7, rel. 33; 2θ 34.3, rel. 67; 2θ 49.2, rel. 24; 2θ 49.3, rel. 24; 2θ 58.5, rel. 43; 2θ 58.6, rel. 14; 2θ 61.3, rel. 13; 2θ 61.6, rel. 4

Structural model:
Lattice parameters (Å, degrees): 6.418 6.418 9.032 90.00 90.00 120.00
Fractional coordinates of all 9 atoms:
Pm (0.333, 0.667, 0.000)
Pm (0.667, 0.333, 0.000)
Pr (0.000, 0.000, 0.000)
Pr (0.000, 0.334, 0.668)
Pr (0.000, 0.666, 0.332)
Pr (0.334, 0.000, 0.668)
Pr (0.334, 0.334, 0.332)
Pr (0.666, 0.000, 0.332)
Pr (0.666, 0.666, 0.668)

Question: Which formula does entry 3 have?
Answer: Tm4TlCd